Theoretical powder XRD pattern
Compound: Sc2ZnCdIn2
Radiation: Cu Kα
Structure: the PBE geometry in OQMD
No peak broadening, texture or thermal motion is included.

Top 8 peaks for 2θ = 10–80°, in order of rising 2θ:
Position (°2θ)	d_spacing	intensity	h k l
23.58	3.773	80	1 1 1
38.94	2.313	100	3 1 -1
39.07	2.305	50	0 2 0
45.91	1.977	13	2 0 6
46.14	1.967	27	1 1 -7
56.45	1.630	16	2 2 -6
70.44	1.337	15	6 0 -2
70.68	1.333	23	1 3 5

Cell and atoms:
```
data_Sc2ZnCdIn2
_chemical_formula_sum 'Sc8 Zn4 Cd4 In8'
_space_group_name_H-M_alt 'P 1 m 1'
_space_group_IT_number 6
_space_group_name_Hall 'P -2y'
_cell_length_a 8.0187
_cell_length_b 4.6076
_cell_length_c 15.3259
_cell_angle_alpha 90.00
_cell_angle_beta 99.71
_cell_angle_gamma 90.00
loop_
_atom_site_label
_atom_site_type_symbol
_atom_site_fract_x
_atom_site_fract_y
_atom_site_fract_z
_atom_site_occupancy
Sc1 Sc 0.0000 0.0000 0.0000 1
Sc2 Sc 0.0071 0.5000 0.4926 1
Sc3 Sc 0.2369 0.0000 0.7371 1
Sc4 Sc 0.2469 0.5000 0.2417 1
Sc5 Sc 0.4830 0.0000 0.4848 1
Sc6 Sc 0.4999 0.5000 0.9995 1
Sc7 Sc 0.7436 0.0000 0.2371 1
Sc8 Sc 0.7573 0.5000 0.7401 1
Zn1 Zn 0.0603 0.5000 0.6766 1
Zn2 Zn 0.0609 0.0000 0.1826 1
Zn3 Zn 0.3065 0.5000 0.4258 1
Zn4 Zn 0.5587 0.5000 0.1817 1
Cd1 Cd 0.3087 0.0000 0.9296 1
Cd2 Cd 0.5581 0.0000 0.6760 1
Cd3 Cd 0.8084 0.0000 0.4275 1
Cd4 Cd 0.8113 0.5000 0.9311 1
In1 In 0.1212 0.5000 0.8615 1
In2 In 0.1259 0.0000 0.3640 1
In3 In 0.3638 0.5000 0.6110 1
In4 In 0.3725 0.0000 0.1223 1
In5 In 0.6123 0.5000 0.3634 1
In6 In 0.6213 0.0000 0.8659 1
In7 In 0.8749 0.5000 0.1233 1
In8 In 0.8792 0.0000 0.6167 1
```

---

Theoretical powder XRD pattern
Compound: CdIn2Te2Se2
Radiation: Cu Kα
Structure: the PBE geometry in OQMD
No peak broadening, texture or thermal motion is included.

Top 8 peaks for 2θ = 10–80°, in order of rising 2θ:
Position (°2θ)	d_spacing	intensity	h k l
24.96	3.568	100	-1 1 1
25.22	3.531	78	1 1 -2
41.24	2.189	23	0 2 1
41.39	2.182	42	2 2 -2
41.57	2.172	21	2 0 1
41.77	2.162	20	2 0 -3
49.11	1.855	24	3 -1 0
49.24	1.851	19	3 1 -3

Cell and atoms:
```
data_CdIn2Te2Se2
_chemical_formula_sum 'Cd1 In2 Te2 Se2'
_space_group_name_H-M_alt 'P 1'
_space_group_IT_number 1
_space_group_name_Hall 'P 1'
_cell_length_a 6.1577
_cell_length_b 6.1837
_cell_length_c 7.4508
_cell_angle_alpha 113.69
_cell_angle_beta 114.15
_cell_angle_gamma 90.04
loop_
_atom_site_label
_atom_site_type_symbol
_atom_site_fract_x
_atom_site_fract_y
_atom_site_fract_z
_atom_site_occupancy
Cd1 Cd 0.0000 0.0000 0.0000 1
In1 In 0.5000 0.4690 0.0008 1
In2 In 0.7337 0.2354 0.5006 1
Te1 Te 0.1396 0.6189 0.7171 1
Te2 Te 0.9166 0.8447 0.2837 1
Se1 Se 0.3682 0.3887 0.2687 1
Se2 Se 0.5934 0.0871 0.7325 1
```